The following is a calculated XRD peak list of Ca2BeCoO5. It was derived from a DFT-relaxed cell (GGA+U, Alexandria), using λ = 1.5418 Å (Cu Kα).

Main lines, in order of rising 2θ (10° ≤ 2θ ≤ 90°):
d/Å, I_rel
6.505, 31.5
4.922, 14.2
3.925, 46.4
3.088, 27.3
2.964, 15.8
2.930, 47.6
2.415, 13.9
2.200, 100.0
2.118, 36.4
1.835, 26.6
1.640, 18.1
1.522, 16.0

```
Ca2BeCoO5
1.0
1.5221 -6.5050 0.0000
1.5221 6.5050 0.0000
0.0000 0.0000 9.8448
Ca Be Co O
4 2 2 10
direct
0.0972 0.9028 0.5000 Ca
0.1291 0.8709 0.1519 Ca
0.8709 0.1291 0.6519 Ca
0.9028 0.0972 0.0000 Ca
0.4344 0.5656 0.2673 Be
0.5656 0.4344 0.7673 Be
0.2083 0.7917 0.8613 Co
0.7917 0.2083 0.3613 Co
0.0617 0.9383 0.8514 O
0.2840 0.7160 0.4871 O
0.3068 0.6932 0.2382 O
0.3486 0.6514 0.8362 O
0.4943 0.5057 0.1285 O
0.5057 0.4943 0.6285 O
0.6514 0.3486 0.3362 O
0.6932 0.3068 0.7382 O
0.7160 0.2840 0.9871 O
0.9383 0.0617 0.3514 O
```